1.
Simulated PXRD pattern of Li2FeRh for Cu Kα X-rays, from a structure optimized by DFT (PBE).
Peak positions follow from Bragg's law for the DFT cell and can differ from measured ones.

Top 8 peaks for 10 to 90 degrees two-theta, sorted by position:
- 20.3°, I = 100
- 38.0°, I = 39
- 41.2°, I = 20
- 43.4°, I = 67
- 43.6°, I = 17
- 48.5°, I = 19
- 57.3°, I = 22
- 76.6°, I = 12

Cell lengths 2.881, 4.156, 4.382 Å; angles 90.00, 90.00, 90.00 degrees
Positions (direct):
Li 0.000 0.000 0.000
Li 0.500 0.500 0.000
Fe 0.000 0.500 0.500
Rh 0.500 0.000 0.500



2.
Simulated PXRD pattern of LiFe2Rh for Cu Kα X-rays, from a structure optimized by DFT (PBE).
Peak positions follow from Bragg's law for the DFT cell and can differ from measured ones.

Top 8 peaks for 10 to 90 degrees two-theta, sorted by position:
- 19.0°, I = 84
- 28.5°, I = 63
- 41.6°, I = 32
- 42.9°, I = 52
- 43.2°, I = 100
- 43.5°, I = 49
- 44.3°, I = 94
- 62.8°, I = 31

Cell lengths 2.577, 4.213, 4.750 Å; angles 90.00, 100.28, 90.00 degrees
Positions (direct):
Li 0.000 0.000 0.000
Fe 0.222 0.500 0.751
Fe 0.778 0.500 0.249
Rh 0.500 0.000 0.500



3.
Simulated PXRD pattern of Li2FeRu for Cu Kα X-rays, from a structure optimized by DFT (PBE).
Peak positions follow from Bragg's law for the DFT cell and can differ from measured ones.

Top 8 peaks for 10 to 90 degrees two-theta, sorted by position:
- 28.1°, I = 100
- 35.6°, I = 26
- 40.2°, I = 48
- 46.0°, I = 64
- 54.8°, I = 29
- 58.1°, I = 16
- 65.8°, I = 16
- 77.1°, I = 26

Cell lengths 3.173, 3.173, 5.038 Å; angles 90.00, 90.00, 90.00 degrees
Positions (direct):
Li 0.000 0.000 0.247
Li 0.000 0.000 0.753
Fe 0.500 0.500 0.500
Ru 0.500 0.500 0.000



4.
Simulated PXRD pattern of Li6FeS4 for Cu Kα X-rays, from a structure optimized by DFT (PBE).
Peak positions follow from Bragg's law for the DFT cell and can differ from measured ones.

Top 8 peaks for 10 to 90 degrees two-theta, sorted by position:
- 14.3°, I = 100
- 24.7°, I = 49
- 26.7°, I = 83
- 28.8°, I = 42
- 29.0°, I = 83
- 39.8°, I = 85
- 44.8°, I = 48
- 54.3°, I = 47

Cell lengths 7.381, 7.381, 7.381 Å; angles 150.44, 66.69, 121.72 degrees
Positions (direct):
Li 0.083 0.775 0.308
Li 0.123 0.000 0.123
Li 0.467 0.775 0.692
Li 0.540 0.173 0.367
Li 0.806 0.173 0.633
Li 0.877 0.000 0.877
Fe 0.415 0.415 0.000
S 0.217 0.457 0.760
S 0.226 0.726 0.500
S 0.698 0.457 0.240
S 0.735 0.735 0.000



5.
Simulated PXRD pattern of Li14Fe2S9 for Cu Kα X-rays, from a structure optimized by DFT (PBE).
Peak positions follow from Bragg's law for the DFT cell and can differ from measured ones.

Top 8 peaks for 10 to 90 degrees two-theta, sorted by position:
- 17.1°, I = 100
- 27.0°, I = 92
- 27.1°, I = 35
- 40.3°, I = 17
- 44.7°, I = 53
- 45.0°, I = 57
- 53.1°, I = 23
- 65.3°, I = 16

Cell lengths 7.019, 7.019, 9.856 Å; angles 90.00, 90.00, 120.00 degrees
Positions (direct):
Li 0.000 0.000 0.250
Li 0.000 0.000 0.750
Li 0.018 0.672 0.410
Li 0.039 0.363 0.091
Li 0.324 0.961 0.091
Li 0.328 0.346 0.410
Li 0.346 0.018 0.590
Li 0.363 0.324 0.909
Li 0.637 0.676 0.091
Li 0.654 0.982 0.410
Li 0.672 0.654 0.590
Li 0.676 0.039 0.909
Li 0.961 0.637 0.909
Li 0.982 0.328 0.590
Fe 0.333 0.667 0.756
Fe 0.667 0.333 0.244
S 0.000 0.000 0.500
S 0.032 0.342 0.838
S 0.310 0.968 0.838
S 0.333 0.667 0.519
S 0.342 0.310 0.162
S 0.658 0.690 0.838
S 0.667 0.333 0.481
S 0.690 0.032 0.162
S 0.968 0.658 0.162



6.
Simulated PXRD pattern of Li5FeS4 for Cu Kα X-rays, from a structure optimized by DFT (PBE).
Peak positions follow from Bragg's law for the DFT cell and can differ from measured ones.

Top 8 peaks for 10 to 90 degrees two-theta, sorted by position:
- 12.6°, I = 47
- 14.5°, I = 100
- 25.5°, I = 48
- 28.0°, I = 41
- 34.6°, I = 16
- 36.9°, I = 74
- 47.3°, I = 23
- 49.1°, I = 36

Cell lengths 7.990, 7.990, 7.990 Å; angles 153.97, 129.51, 57.67 degrees
Positions (direct):
Li 0.000 0.000 0.000
Li 0.119 0.347 0.772
Li 0.492 0.694 0.799
Li 0.574 0.347 0.228
Li 0.895 0.694 0.201
Fe 0.484 0.984 0.500
S 0.283 0.518 0.765
S 0.316 0.816 0.500
S 0.745 0.245 0.500
S 0.754 0.518 0.235



7.
Simulated PXRD pattern of Li6FeS4 for Cu Kα X-rays, from a structure optimized by DFT (PBE).
Peak positions follow from Bragg's law for the DFT cell and can differ from measured ones.

Top 8 peaks for 10 to 90 degrees two-theta, sorted by position:
- 12.6°, I = 71
- 18.9°, I = 100
- 25.4°, I = 73
- 28.3°, I = 38
- 29.2°, I = 64
- 36.8°, I = 37
- 44.8°, I = 71
- 50.7°, I = 53

Cell lengths 8.086, 8.086, 6.305 Å; angles 90.00, 90.00, 120.00 degrees
Positions (direct):
Li 0.078 0.539 0.000
Li 0.152 0.303 0.643
Li 0.152 0.848 0.643
Li 0.303 0.152 0.143
Li 0.461 0.539 0.000
Li 0.461 0.922 0.000
Li 0.539 0.078 0.500
Li 0.539 0.461 0.500
Li 0.697 0.848 0.643
Li 0.848 0.152 0.143
Li 0.848 0.697 0.143
Li 0.922 0.461 0.500
Fe 0.333 0.667 0.370
Fe 0.667 0.333 0.870
S 0.178 0.356 0.251
S 0.178 0.822 0.251
S 0.333 0.667 0.735
S 0.356 0.178 0.751
S 0.644 0.822 0.251
S 0.667 0.333 0.235
S 0.822 0.178 0.751
S 0.822 0.644 0.751



8.
Simulated PXRD pattern of Li3Fe4S6 for Cu Kα X-rays, from a structure optimized by DFT (PBE).
Peak positions follow from Bragg's law for the DFT cell and can differ from measured ones.

Top 8 peaks for 10 to 90 degrees two-theta, sorted by position:
- 14.7°, I = 100
- 16.4°, I = 46
- 21.8°, I = 48
- 28.0°, I = 32
- 28.5°, I = 58
- 41.8°, I = 40
- 49.9°, I = 53
- 54.5°, I = 33

Cell lengths 6.266, 6.266, 6.011 Å; angles 90.36, 90.36, 118.91 degrees
Positions (direct):
Li 0.000 0.000 0.000
Li 0.349 0.651 0.000
Li 0.651 0.349 0.000
Fe 0.000 0.335 0.628
Fe 0.000 0.665 0.372
Fe 0.335 0.000 0.628
Fe 0.665 0.000 0.372
S 0.017 0.671 0.732
S 0.308 0.308 0.743
S 0.329 0.983 0.268
S 0.671 0.017 0.732
S 0.692 0.692 0.257
S 0.983 0.329 0.268



9.
Simulated PXRD pattern of Li2FeSnS4 for Cu Kα X-rays, from a structure optimized by DFT (PBE).
Peak positions follow from Bragg's law for the DFT cell and can differ from measured ones.

Top 8 peaks for 10 to 90 degrees two-theta, sorted by position:
- 17.1°, I = 82
- 17.7°, I = 100
- 25.8°, I = 58
- 26.1°, I = 35
- 27.7°, I = 55
- 29.4°, I = 46
- 45.9°, I = 48
- 50.0°, I = 48

Cell lengths 6.440, 6.823, 10.267 Å; angles 90.00, 128.85, 90.00 degrees
Positions (direct):
Li 0.000 0.161 0.000
Li 0.000 0.839 0.500
Li 0.749 0.337 0.249
Li 0.749 0.663 0.749
Fe 0.496 0.170 0.497
Fe 0.496 0.830 0.997
Sn 0.248 0.329 0.751
Sn 0.248 0.671 0.251
S 0.141 0.174 0.500
S 0.141 0.826 0.000
S 0.377 0.328 0.261
S 0.377 0.672 0.761
S 0.615 0.150 0.001
S 0.615 0.850 0.501
S 0.851 0.317 0.737
S 0.851 0.683 0.237



10.
Simulated PXRD pattern of Li3U2FeS6 for Cu Kα X-rays, from a structure optimized by DFT (PBE).
Peak positions follow from Bragg's law for the DFT cell and can differ from measured ones.

Top 8 peaks for 10 to 90 degrees two-theta, sorted by position:
- 14.2°, I = 100
- 28.0°, I = 63
- 29.2°, I = 24
- 33.7°, I = 83
- 36.7°, I = 31
- 48.0°, I = 30
- 48.7°, I = 29
- 51.0°, I = 25

Cell lengths 6.476, 6.476, 6.589 Å; angles 99.40, 99.40, 119.95 degrees
Positions (direct):
Li 0.000 0.000 0.000
Li 0.336 0.664 0.000
Li 0.664 0.336 0.000
U 0.167 0.833 0.500
U 0.833 0.167 0.500
Fe 0.500 0.500 0.500
S 0.096 0.416 0.250
S 0.262 0.262 0.747
S 0.416 0.096 0.250
S 0.584 0.904 0.750
S 0.738 0.738 0.253
S 0.904 0.584 0.750



11.
Simulated PXRD pattern of Li2VFeS4 for Cu Kα X-rays, from a structure optimized by DFT (PBE).
Peak positions follow from Bragg's law for the DFT cell and can differ from measured ones.

Top 8 peaks for 10 to 90 degrees two-theta, sorted by position:
- 14.9°, I = 100
- 34.2°, I = 96
- 43.5°, I = 78
- 54.4°, I = 35
- 56.1°, I = 26
- 56.7°, I = 15
- 65.9°, I = 12
- 72.1°, I = 15

Cell lengths 3.373, 3.373, 11.874 Å; angles 90.00, 90.00, 120.00 degrees
Positions (direct):
Li 0.000 0.000 0.240
Li 0.000 0.000 0.760
V 0.000 0.000 0.500
Fe 0.000 0.000 0.000
S 0.333 0.667 0.101
S 0.333 0.667 0.619
S 0.667 0.333 0.381
S 0.667 0.333 0.899



12.
Simulated PXRD pattern of LiFe4Si for Cu Kα X-rays, from a structure optimized by DFT (PBE).
Peak positions follow from Bragg's law for the DFT cell and can differ from measured ones.

Top 8 peaks for 10 to 90 degrees two-theta, sorted by position:
- 23.3°, I = 95
- 45.5°, I = 100
- 47.6°, I = 80
- 55.5°, I = 26
- 61.0°, I = 17
- 74.5°, I = 27
- 82.4°, I = 27
- 87.1°, I = 11

Cell lengths 4.679, 4.679, 4.679 Å; angles 60.00, 60.00, 60.00 degrees
Positions (direct):
Li 0.000 0.000 0.000
Fe 0.375 0.375 0.375
Fe 0.375 0.375 0.875
Fe 0.375 0.875 0.375
Fe 0.875 0.375 0.375
Si 0.750 0.750 0.750